Theoretical powder XRD pattern
Compound: NaDy3Ti2Sb2O14
Radiation: CuKα
Structure: a structure optimized by DFT (GGA-PBE)

Crystal structure
```
data_NaDy3Ti2Sb2O14
_chemical_formula_sum 'Na2 Dy6 Ti4 Sb4 O28'
_symmetry_space_group_name_H-M 'C 1 2/m 1'
_symmetry_Int_Tables_number 12
_cell_length_a 12.535
_cell_length_b 7.359
_cell_length_c 7.216
_cell_angle_alpha 90.00
_cell_angle_beta 124.67
_cell_angle_gamma 90.00
loop_
_symmetry_equiv_pos_as_xyz
'x,y,z'
'-x,-y,-z'
'-x,y,-z'
'x,-y,z'
'x+1/2,y+1/2,z'
'-x+1/2,-y+1/2,-z'
'-x+1/2,y+1/2,-z'
'x+1/2,-y+1/2,z'
loop_
_atom_site_label
_atom_site_type_symbol
_atom_site_fract_x
_atom_site_fract_y
_atom_site_fract_z
Na1 Na 0.000 0.000 0.000
Dy1 Dy 0.000 0.000 0.500
Dy2 Dy 0.250 0.250 0.000
Ti1 Ti 0.000 0.500 0.000
Ti2 Ti 0.000 0.500 0.500
Sb1 Sb 0.250 0.250 0.500
O1 O 0.071 0.500 0.819
O2 O 0.124 0.298 0.579
O3 O 0.130 0.307 0.175
O4 O 0.133 0.000 0.870
O5 O 0.169 0.000 0.426
```

The 10 most intense peaks (10° ≤ 2θ ≤ 80°), by angle:
two_theta  intensity  index
17.20  32  2 0 0
29.83  100  2 2 0
30.12  48  0 0 2
30.36  48  4 0 -2
34.82  59  4 0 0
49.55  16  0 4 0
49.90  31  2 2 2
50.22  31  6 2 -2
59.37  21  6 2 0
59.74  20  2 2 -4